Record 1
This entry pairs a crystal structure of GdSiBO5 with its calculated X-ray diffraction stick pattern. Radiation: Cu Ka. Structure: a DFT-relaxed cell (GGA-PBE, OQMD).
Lines closer than 0.1° are merged.

The 10 most intense peaks (15 to 90 degrees two-theta), by angle:
| d (Å) | 2θ (°) | I_rel | (hkl) |
| --- | --- | --- | --- |
| 4.337 | 20.48 | 100 | 0 1 1 |
| 3.346 | 26.64 | 67 | 1 1 0 |
| 2.897 | 30.86 | 56 | 2 0 0 |
| 2.848 | 31.41 | 85 | 1 0 2 |
| 2.169 | 41.65 | 18 | 0 2 2 |
| 2.077 | 43.58 | 50 | 2 1 1 |
| 1.820 | 50.13 | 57 | 1 2 2 |
| 1.663 | 55.23 | 17 | 3 0 2 |
| 1.607 | 57.33 | 24 | 3 1 0 |
| 1.310 | 72.08 | 17 | 2 1 4 |

Atomic structure:
```
data_GdSiBO5
_symmetry_space_group_name_H-M 'P 31'
_symmetry_Int_Tables_number 144
_cell_length_a 6.6911
_cell_length_b 6.6911
_cell_length_c 6.5408
_cell_angle_alpha 90.00
_cell_angle_beta 90.00
_cell_angle_gamma 120.00
loop_
_symmetry_equiv_pos_as_xyz
'x,y,z'
'-y,x-y,z+1/3'
'-x+y,-x,z+2/3'
loop_
_atom_site_label
_atom_site_type_symbol
_atom_site_fract_x
_atom_site_fract_y
_atom_site_fract_z
Gd1 Gd 0.0014 0.5810 0.0000
Si1 Si 0.0014 0.5754 0.5036
B1 B 0.1183 0.0174 0.6371
O1 O 0.0743 0.0598 0.4305
O2 O 0.1416 0.8047 0.6554
O3 O 0.1504 0.5398 0.3289
O4 O 0.3590 0.1964 0.6944
O5 O 0.5171 0.1366 0.3391
```

Record 2
This entry pairs a crystal structure of Li4CdPt2Pb with its calculated X-ray diffraction stick pattern. Radiation: Cu Ka. Structure: a DFT-relaxed cell (GGA-PBE, OQMD).
Lines closer than 0.1° are merged.

The 10 most intense peaks (15 to 90 degrees two-theta), by angle:
| d (Å) | 2θ (°) | I_rel | (hkl) |
| --- | --- | --- | --- |
| 3.692 | 24.11 | 100 | 1 0 1 |
| 2.274 | 39.63 | 31 | 2 0 0 |
| 2.254 | 40.00 | 60 | 1 1 2 |
| 1.936 | 46.93 | 34 | 2 1 1 |
| 1.912 | 47.57 | 17 | 1 0 3 |
| 1.608 | 57.29 | 11 | 2 2 0 |
| 1.463 | 63.59 | 14 | 2 1 3 |
| 1.309 | 72.16 | 21 | 3 1 2 |
| 1.298 | 72.90 | 10 | 2 0 4 |
| 1.237 | 77.10 | 8 | 3 2 1 |

Atomic structure:
```
data_Li4CdPt2Pb
_symmetry_space_group_name_H-M 'P -4 m 2'
_symmetry_Int_Tables_number 115
_cell_length_a 4.5483
_cell_length_b 4.5483
_cell_length_c 6.3198
_cell_angle_alpha 90.00
_cell_angle_beta 90.00
_cell_angle_gamma 90.00
loop_
_symmetry_equiv_pos_as_xyz
'x,y,z'
'y,-x,-z'
'-x,-y,z'
'-y,x,-z'
'-x,y,z'
'-y,-x,-z'
'x,-y,z'
'y,x,-z'
loop_
_atom_site_label
_atom_site_type_symbol
_atom_site_fract_x
_atom_site_fract_y
_atom_site_fract_z
Li1 Li 0.0000 0.0000 0.0000
Li2 Li 0.0000 0.5000 0.7320
Li3 Li 0.5000 0.5000 0.5000
Cd1 Cd 0.0000 0.0000 0.5000
Pt1 Pt 0.0000 0.5000 0.2514
Pb1 Pb 0.5000 0.5000 0.0000
```

Record 3
This entry pairs a crystal structure of SrMgAlZn2 with its calculated X-ray diffraction stick pattern. Radiation: Cu Ka. Structure: a DFT-relaxed cell (GGA-PBE, OQMD).
Lines closer than 0.1° are merged.

The 10 most intense peaks (15 to 90 degrees two-theta), by angle:
| d (Å) | 2θ (°) | I_rel | (hkl) |
| --- | --- | --- | --- |
| 4.171 | 21.30 | 13 | 1 0 1 |
| 2.884 | 31.01 | 33 | 1 0 3 |
| 2.823 | 31.70 | 15 | 0 0 4 |
| 2.767 | 32.36 | 100 | 1 1 2 |
| 2.244 | 40.18 | 42 | 2 0 0 |
| 1.771 | 51.60 | 15 | 2 1 3 |
| 1.757 | 52.06 | 15 | 2 0 4 |
| 1.619 | 56.88 | 18 | 1 1 6 |
| 1.587 | 58.13 | 14 | 2 2 0 |
| 1.377 | 68.11 | 22 | 3 1 2 |

Atomic structure:
```
data_SrMgAlZn2
_symmetry_space_group_name_H-M 'I 4 m m'
_symmetry_Int_Tables_number 107
_symmetry_space_group_name_Hall 'I 4 -2'
_cell_length_a 4.4887
_cell_length_b 4.4887
_cell_length_c 11.2903
_cell_angle_alpha 90.00
_cell_angle_beta 90.00
_cell_angle_gamma 90.00
loop_
_atom_site_label
_atom_site_type_symbol
_atom_site_fract_x
_atom_site_fract_y
_atom_site_fract_z
Sr1 Sr 0.0000 0.0000 0.0000
Mg1 Mg 0.0000 0.0000 0.3740
Al1 Al 0.0000 0.0000 0.6238
Zn1 Zn 0.0000 0.5000 0.2368
```

Record 4
This entry pairs a crystal structure of CuH6C9INCl with its calculated X-ray diffraction stick pattern. Radiation: Cu Ka. Structure: a DFT-relaxed cell (GGA-PBE, OQMD).
Lines closer than 0.1° are merged.

The 10 most intense peaks (15 to 90 degrees two-theta), by angle:
| d (Å) | 2θ (°) | I_rel | (hkl) |
| --- | --- | --- | --- |
| 5.312 | 16.69 | 100 | 0 1 2 |
| 3.852 | 23.09 | 44 | 1 0 -1 |
| 3.735 | 23.82 | 28 | 0 1 3 |
| 3.604 | 24.70 | 30 | 1 -1 0 |
| 3.376 | 26.40 | 67 | 0 3 0 |
| 3.285 | 27.14 | 62 | 1 0 2 |
| 3.190 | 27.97 | 63 | 1 1 -2 |
| 2.810 | 31.85 | 31 | 1 1 3 |
| 2.556 | 35.11 | 34 | 0 4 1 |
| 1.945 | 46.69 | 31 | 1 -4 1 |

Atomic structure:
```
data_CuH6C9INCl
_symmetry_space_group_name_H-M 'P -1'
_symmetry_Int_Tables_number 2
_cell_length_a 4.1191
_cell_length_b 10.3543
_cell_length_c 11.4661
_cell_angle_alpha 80.89
_cell_angle_beta 89.49
_cell_angle_gamma 81.72
loop_
_symmetry_equiv_pos_as_xyz
'x,y,z'
'-x,-y,-z'
loop_
_atom_site_label
_atom_site_type_symbol
_atom_site_fract_x
_atom_site_fract_y
_atom_site_fract_z
Cu1 Cu 0.2195 0.4039 0.4661
H1 H 0.1539 0.4745 0.7368
H2 H 0.2253 0.0566 0.6168
H3 H 0.2500 0.0439 0.0507
H4 H 0.3226 0.5168 0.9320
H5 H 0.3767 0.1156 0.8087
H6 H 0.4532 0.8376 0.5627
C1 C 0.0295 0.7097 0.9126
C2 C 0.0578 0.5677 0.7662
C3 C 0.1535 0.5917 0.8769
C4 C 0.1858 0.1942 0.1632
C5 C 0.2688 0.2278 0.2751
C6 C 0.3173 0.0693 0.1351
C7 C 0.3925 0.9858 0.6770
C8 C 0.4764 0.0192 0.7866
C9 C 0.4826 0.1350 0.3532
I1 I 0.2584 0.6692 0.3972
N1 N 0.1477 0.3476 0.3082
Cl1 Cl 0.1366 0.7387 0.0505
```

Record 5
This entry pairs a crystal structure of ZrHg3 with its calculated X-ray diffraction stick pattern. Radiation: Cu Ka. Structure: a DFT-relaxed cell (GGA-PBE, OQMD).
Lines closer than 0.1° are merged.

The 10 most intense peaks (15 to 90 degrees two-theta), by angle:
| d (Å) | 2θ (°) | I_rel | (hkl) |
| --- | --- | --- | --- |
| 4.414 | 20.12 | 7 | 1 0 0 |
| 3.121 | 28.60 | 6 | 1 1 0 |
| 2.549 | 35.21 | 100 | 1 1 1 |
| 2.207 | 40.89 | 50 | 2 0 0 |
| 1.974 | 45.97 | 4 | 2 1 0 |
| 1.802 | 50.65 | 3 | 2 1 1 |
| 1.561 | 59.20 | 34 | 2 2 0 |
| 1.331 | 70.79 | 40 | 3 1 1 |
| 1.274 | 74.45 | 12 | 2 2 2 |
| 1.104 | 88.62 | 6 | 4 0 0 |

Atomic structure:
```
data_ZrHg3
_symmetry_space_group_name_H-M 'P m -3 m'
_symmetry_Int_Tables_number 221
_symmetry_space_group_name_Hall '-P 4 2 3'
_cell_length_a 4.4144
_cell_length_b 4.4144
_cell_length_c 4.4144
_cell_angle_alpha 90.00
_cell_angle_beta 90.00
_cell_angle_gamma 90.00
loop_
_atom_site_label
_atom_site_type_symbol
_atom_site_fract_x
_atom_site_fract_y
_atom_site_fract_z
Zr1 Zr 0.0000 0.0000 0.0000
Hg1 Hg 0.0000 0.5000 0.5000
```

Record 6
This entry pairs a crystal structure of Fe2Re5As12 with its calculated X-ray diffraction stick pattern. Radiation: Cu Ka. Structure: a DFT-relaxed cell (GGA-PBE, OQMD).
Lines closer than 0.1° are merged.

The 10 most intense peaks (15 to 90 degrees two-theta), by angle:
| d (Å) | 2θ (°) | I_rel | (hkl) |
| --- | --- | --- | --- |
| 2.759 | 32.45 | 59 | 2 1 1 |
| 2.638 | 33.98 | 100 | 0 6 0 |
| 2.488 | 36.10 | 97 | 3 1 1 |
| 2.067 | 43.81 | 37 | 6 2 0 |
| 1.994 | 45.48 | 34 | 5 5 0 |
| 1.982 | 45.78 | 51 | 5 0 1 |
| 1.969 | 46.09 | 41 | 3 5 1 |
| 1.821 | 50.09 | 43 | 3 6 1 |
| 1.682 | 54.57 | 44 | 3 7 1 |
| 1.557 | 59.35 | 35 | 0 0 2 |

Atomic structure:
```
data_Fe2Re5As12
_symmetry_space_group_name_H-M 'P n n m'
_symmetry_Int_Tables_number 58
_cell_length_a 12.8457
_cell_length_b 15.8114
_cell_length_c 3.1144
_cell_angle_alpha 90.00
_cell_angle_beta 90.00
_cell_angle_gamma 90.00
loop_
_symmetry_equiv_pos_as_xyz
'x,y,z'
'-x,-y,-z'
'-x,-y,z'
'x,y,-z'
'x+1/2,-y+1/2,-z+1/2'
'-x+1/2,y+1/2,z+1/2'
'-x+1/2,y+1/2,-z+1/2'
'x+1/2,-y+1/2,z+1/2'
loop_
_atom_site_label
_atom_site_type_symbol
_atom_site_fract_x
_atom_site_fract_y
_atom_site_fract_z
Fe1 Fe 0.1256 0.1552 0.0000
Re1 Re 0.0000 0.5000 0.5000
Re2 Re 0.0856 0.7615 0.0000
Re3 Re 0.1835 0.8962 0.5000
As1 As 0.0310 0.9209 0.0000
As2 As 0.0684 0.2598 0.5000
As3 As 0.0964 0.5974 0.0000
As4 As 0.1548 0.4060 0.5000
As5 As 0.2066 0.0601 0.5000
As6 As 0.2311 0.7415 0.5000
```